1.
For LaCdCu2I, the PBE geometry in Alexandria gives the computed X-ray powder pattern in this record (copper Kα).
Lines closer than 0.1° are merged.

Peak list (10 most intense, 15 to 90 degrees two-theta, by angle)
two_theta, intensity, hkl
18.11, 32, 1 0 0
23.34, 24, 1 0 1
25.72, 50, 1 1 0
29.46, 83, 0 0 2
29.70, 100, 1 1 1
36.69, 92, 2 0 0
39.50, 32, 1 1 2
47.73, 86, 2 0 2
52.85, 31, 2 2 0
61.67, 39, 2 2 2

Structural model:
```
data_LaCdCu2I
_symmetry_space_group_name_H-M 'P 4/m m m'
_symmetry_Int_Tables_number 123
_symmetry_space_group_name_Hall '-P 4 2'
_cell_length_a 4.8993
_cell_length_b 4.8993
_cell_length_c 6.0641
_cell_angle_alpha 90.00
_cell_angle_beta 90.00
_cell_angle_gamma 90.00
loop_
_atom_site_label
_atom_site_type_symbol
_atom_site_fract_x
_atom_site_fract_y
_atom_site_fract_z
_atom_site_occupancy
La1 La 0.0000 0.0000 0.0000 1
Cd1 Cd 0.0000 0.0000 0.5000 1
Cu1 Cu 0.0000 0.5000 0.5000 1
I1 I 0.5000 0.5000 0.0000 1
```

***

2.
For NaZrP, the PBE geometry in Alexandria gives the computed X-ray powder pattern in this record (copper Kα).
Lines closer than 0.1° are merged.

Peak list (10 most intense, 15 to 90 degrees two-theta, by angle)
two_theta, intensity, hkl
27.41, 33, 1 0 3
31.89, 62, 1 0 5
32.29, 30, 0 0 8
35.02, 42, 1 1 0
35.97, 100, 1 1 2
37.71, 60, 1 0 7
44.45, 28, 1 0 9
50.36, 32, 2 0 0
54.73, 23, 1 1 10
64.59, 24, 2 1 7

Structural model:
```
data_NaZrP
_symmetry_space_group_name_H-M 'I -4 m 2'
_symmetry_Int_Tables_number 119
_symmetry_space_group_name_Hall 'I -4 -2'
_cell_length_a 3.6240
_cell_length_b 3.6240
_cell_length_c 22.1826
_cell_angle_alpha 90.00
_cell_angle_beta 90.00
_cell_angle_gamma 90.00
loop_
_atom_site_label
_atom_site_type_symbol
_atom_site_fract_x
_atom_site_fract_y
_atom_site_fract_z
_atom_site_occupancy
Na1 Na 0.0000 0.0000 0.1860 1
Zr1 Zr 0.0000 0.5000 0.5451 1
P1 P 0.0000 0.5000 0.0774 1
```

***

3.
For Dy3Al4, the PBE geometry in Alexandria gives the computed X-ray powder pattern in this record (copper Kα).
Lines closer than 0.1° are merged.

Peak list (10 most intense, 15 to 90 degrees two-theta, by angle)
two_theta, intensity, hkl
20.28, 45, 0 2 2
23.67, 34, 1 1 1
26.08, 44, 1 1 2
29.69, 100, 1 1 3
29.85, 70, 0 2 4
32.34, 84, 1 3 0
34.16, 64, 1 1 4
37.51, 40, 0 4 3
37.64, 39, 1 3 3
43.50, 34, 2 0 0

Structural model:
```
data_Dy3Al4
_symmetry_space_group_name_H-M 'C m c m'
_symmetry_Int_Tables_number 63
_symmetry_space_group_name_Hall '-C 2c 2'
_cell_length_a 4.1609
_cell_length_b 11.1212
_cell_length_c 14.2078
_cell_angle_alpha 90.00
_cell_angle_beta 90.00
_cell_angle_gamma 90.00
loop_
_atom_site_label
_atom_site_type_symbol
_atom_site_fract_x
_atom_site_fract_y
_atom_site_fract_z
_atom_site_occupancy
Dy1 Dy 0.0000 0.0064 0.2500 1
Dy2 Dy 0.0000 0.2942 0.5999 1
Al1 Al 0.0000 0.0000 0.0000 1
Al2 Al 0.0000 0.2836 0.2500 1
Al3 Al 0.0000 0.4205 0.0983 1
```